No. 1
Calculated X-ray diffraction stick pattern of La2Sm12Sc for Cu Ka, from the GGA-PBE geometry in Alexandria.

Atomic structure:
Cell lengths 6.575, 6.575, 24.921 Å; angles 90.00, 90.00, 90.00 degrees
Positions (direct):
La: 0.250 0.750 0.238
La: 0.250 0.750 0.762
La: 0.750 0.250 0.238
La: 0.750 0.250 0.762
Sm: 0.059 0.559 0.393
Sm: 0.059 0.941 0.607
Sm: 0.082 0.582 0.938
Sm: 0.082 0.918 0.062
Sm: 0.250 0.250 0.164
Sm: 0.250 0.250 0.290
Sm: 0.250 0.250 0.710
Sm: 0.250 0.250 0.836
Sm: 0.418 0.582 0.062
Sm: 0.418 0.918 0.938
Sm: 0.441 0.559 0.607
Sm: 0.441 0.941 0.393
Sm: 0.559 0.059 0.607
Sm: 0.559 0.441 0.393
Sm: 0.582 0.082 0.062
Sm: 0.582 0.418 0.938
Sm: 0.750 0.750 0.164
Sm: 0.750 0.750 0.290
Sm: 0.750 0.750 0.710
Sm: 0.750 0.750 0.836
Sm: 0.918 0.082 0.938
Sm: 0.918 0.418 0.062
Sm: 0.941 0.059 0.393
Sm: 0.941 0.441 0.607
Sc: 0.250 0.750 0.500
Sc: 0.750 0.250 0.500

Most intense lines, 2θ from 10° to 90°, in order of rising 2θ:
| two_theta | I/Imax |
| --- | --- |
| 28.07 | 100.0 |
| 28.82 | 42.1 |
| 30.75 | 43.0 |
| 31.26 | 78.9 |
| 31.66 | 50.7 |
| 32.33 | 46.7 |
| 33.71 | 51.9 |
| 38.74 | 46.6 |
| 50.88 | 30.6 |
| 55.25 | 43.6 |

No. 2
Calculated X-ray diffraction stick pattern of Ni13Ge2 for Cu Ka, from the GGA-PBE geometry in Alexandria.

Atomic structure:
Cell lengths 6.903, 6.903, 6.903 Å; angles 54.43, 54.43, 54.43 degrees
Positions (direct):
Ni: 0.000 0.000 0.000
Ni: 0.109 0.109 0.504
Ni: 0.109 0.504 0.109
Ni: 0.251 0.251 0.624
Ni: 0.251 0.624 0.251
Ni: 0.376 0.749 0.749
Ni: 0.496 0.891 0.891
Ni: 0.504 0.109 0.109
Ni: 0.624 0.251 0.251
Ni: 0.749 0.376 0.749
Ni: 0.749 0.749 0.376
Ni: 0.891 0.496 0.891
Ni: 0.891 0.891 0.496
Ge: 0.135 0.135 0.135
Ge: 0.865 0.865 0.865

Most intense lines, 2θ from 10° to 90°, in order of rising 2θ:
| two_theta | I/Imax |
| --- | --- |
| 15.11 | 18.5 |
| 16.98 | 37.1 |
| 33.16 | 16.6 |
| 44.12 | 100.0 |
| 44.42 | 48.0 |
| 45.06 | 29.9 |
| 49.26 | 70.9 |
| 58.47 | 18.3 |
| 59.74 | 30.1 |
| 70.68 | 16.6 |

No. 3
Calculated X-ray diffraction stick pattern of Er4Ge2Bi for Cu Ka, from the GGA-PBE geometry in Alexandria.

Atomic structure:
Cell lengths 8.103, 8.103, 8.103 Å; angles 109.84, 109.84, 108.74 degrees
Positions (direct):
Er: 0.214 0.283 0.569
Er: 0.214 0.644 0.931
Er: 0.283 0.214 0.069
Er: 0.356 0.786 0.569
Er: 0.644 0.214 0.431
Er: 0.717 0.786 0.931
Er: 0.786 0.356 0.069
Er: 0.786 0.717 0.431
Ge: 0.000 0.500 0.500
Ge: 0.500 0.000 0.000
Ge: 0.500 0.500 0.000
Ge: 0.500 0.500 0.500
Bi: 0.125 0.875 0.250
Bi: 0.875 0.125 0.750

Most intense lines, 2θ from 10° to 90°, in order of rising 2θ:
| two_theta | I/Imax |
| --- | --- |
| 19.06 | 53.9 |
| 26.89 | 51.3 |
| 27.08 | 30.9 |
| 29.97 | 100.0 |
| 30.31 | 69.6 |
| 35.94 | 35.0 |
| 36.05 | 99.7 |
| 38.67 | 34.9 |
| 45.57 | 26.4 |
| 47.39 | 37.7 |

No. 4
Calculated X-ray diffraction stick pattern of Ba2Mg2Ti3Tl2O10 for Cu Ka, from the GGA-PBE geometry in Alexandria.

Atomic structure:
Cell lengths 3.902, 3.905, 19.376 Å; angles 95.66, 95.66, 90.72 degrees
Positions (direct):
Ba: 0.000 0.000 0.000
Ba: 0.320 0.321 0.634
Mg: 0.098 0.138 0.224
Mg: 0.196 0.237 0.410
Ti: 0.550 0.785 0.317
Ti: 0.570 0.587 0.147
Ti: 0.746 0.764 0.487
Tl: 0.447 0.384 0.877
Tl: 0.887 0.824 0.756
O: 0.024 0.863 0.316
O: 0.083 0.597 0.173
O: 0.233 0.748 0.460
O: 0.399 0.245 0.758
O: 0.473 0.312 0.317
O: 0.520 0.548 0.054
O: 0.586 0.100 0.174
O: 0.736 0.250 0.461
O: 0.789 0.816 0.580
O: 0.957 0.803 0.875

Most intense lines, 2θ from 10° to 90°, in order of rising 2θ:
| two_theta | I/Imax |
| --- | --- |
| 28.06 | 84.8 |
| 31.06 | 100.0 |
| 32.23 | 30.3 |
| 32.62 | 48.9 |
| 32.68 | 17.1 |
| 32.99 | 17.9 |
| 46.54 | 31.0 |
| 46.79 | 15.7 |
| 54.95 | 16.4 |
| 57.28 | 17.9 |

No. 5
Calculated X-ray diffraction stick pattern of CeB4W for Cu Ka, from the GGA-PBE geometry in Alexandria.

Atomic structure:
Cell lengths 6.067, 11.740, 3.698 Å; angles 90.00, 90.00, 90.00 degrees
Positions (direct):
Ce: 0.125 0.151 0.000
Ce: 0.375 0.651 0.000
Ce: 0.625 0.349 0.000
Ce: 0.875 0.849 0.000
B: 0.026 0.692 0.500
B: 0.114 0.547 0.500
B: 0.136 0.968 0.500
B: 0.214 0.814 0.500
B: 0.286 0.314 0.500
B: 0.364 0.468 0.500
B: 0.386 0.047 0.500
B: 0.474 0.192 0.500
B: 0.526 0.808 0.500
B: 0.614 0.953 0.500
B: 0.636 0.532 0.500
B: 0.714 0.686 0.500
B: 0.786 0.186 0.500
B: 0.864 0.032 0.500
B: 0.886 0.453 0.500
B: 0.974 0.308 0.500
W: 0.131 0.414 0.000
W: 0.369 0.914 0.000
W: 0.631 0.086 0.000
W: 0.869 0.586 0.000

Most intense lines, 2θ from 10° to 90°, in order of rising 2θ:
| two_theta | I/Imax |
| --- | --- |
| 24.06 | 100.0 |
| 30.44 | 81.3 |
| 33.93 | 27.8 |
| 37.51 | 36.1 |
| 39.17 | 99.3 |
| 42.03 | 36.3 |
| 45.06 | 49.8 |
| 49.28 | 22.2 |
| 59.03 | 25.6 |
| 61.06 | 18.5 |

No. 6
Calculated X-ray diffraction stick pattern of AlSiPN4 for Cu Ka, from the GGA-PBE geometry in Alexandria.

Atomic structure:
Cell lengths 5.546, 5.546, 4.750 Å; angles 91.70, 91.70, 30.11 degrees
Positions (direct):
Al: 0.000 0.000 0.000
Si: 0.652 0.652 0.437
P: 0.393 0.393 0.496
N: 0.143 0.143 0.250
N: 0.417 0.417 0.173
N: 0.527 0.527 0.697
N: 0.811 0.811 0.596

Most intense lines, 2θ from 10° to 90°, in order of rising 2θ:
| two_theta | I/Imax |
| --- | --- |
| 16.56 | 70.5 |
| 18.69 | 100.0 |
| 24.68 | 64.8 |
| 37.33 | 93.8 |
| 37.60 | 32.7 |
| 39.14 | 78.3 |
| 40.23 | 28.8 |
| 53.30 | 22.5 |
| 55.86 | 45.8 |
| 64.70 | 22.7 |

No. 7
Calculated X-ray diffraction stick pattern of Cs2HgCl2F2 for Cu Ka, from the GGA-PBE geometry in Alexandria.

Atomic structure:
Cell lengths 8.891, 8.891, 8.891 Å; angles 147.32, 147.32, 46.88 degrees
Positions (direct):
Cs: 0.122 0.122 0.000
Cs: 0.878 0.878 0.000
Hg: 0.500 0.500 0.000
Cl: 0.346 0.346 0.000
Cl: 0.654 0.654 0.000
F: 0.000 0.500 0.500
F: 0.500 0.000 0.500

Most intense lines, 2θ from 10° to 90°, in order of rising 2θ:
| two_theta | I/Imax |
| --- | --- |
| 10.85 | 66.7 |
| 24.18 | 80.7 |
| 25.18 | 100.0 |
| 32.77 | 70.4 |
| 35.91 | 53.1 |
| 43.76 | 35.5 |
| 49.40 | 44.3 |
| 51.72 | 39.1 |
| 58.37 | 39.1 |
| 76.16 | 19.8 |

No. 8
Calculated X-ray diffraction stick pattern of PrErAl3 for Cu Ka, from the GGA-PBE geometry in Alexandria.

Atomic structure:
Cell lengths 13.965, 13.965, 4.570 Å; angles 90.00, 90.00, 164.76 degrees
Positions (direct):
Pr: 0.073 0.927 0.750
Pr: 0.927 0.073 0.250
Er: 0.211 0.789 0.250
Er: 0.789 0.211 0.750
Al: 0.325 0.675 0.250
Al: 0.378 0.622 0.750
Al: 0.476 0.524 0.750
Al: 0.524 0.476 0.250
Al: 0.622 0.378 0.250
Al: 0.675 0.325 0.750

Most intense lines, 2θ from 10° to 90°, in order of rising 2θ:
| two_theta | I/Imax |
| --- | --- |
| 23.33 | 67.8 |
| 24.24 | 13.4 |
| 25.74 | 14.2 |
| 32.59 | 100.0 |
| 33.13 | 61.4 |
| 38.00 | 41.1 |
| 39.44 | 25.0 |
| 48.02 | 18.1 |
| 52.43 | 33.5 |
| 63.81 | 23.3 |